(1)
Structure and theoretical X-ray powder pattern of Rb7Au3 (the PBE geometry in Alexandria; CuKα).

Structure:
Lattice parameters (Å, degrees): 12.6112 12.6112 12.6112 90.00 90.00 90.00
Space group Im-3m (No. 229)
Inequivalent atoms, fractional coordinates:
Rb  0.0000  0.2500  0.5000 (multiplicity 12)
Rb  0.1567  0.1567  0.1567 (multiplicity 16)
Au  0.0000  0.0000  0.3454 (multiplicity 12)

Largest 12 diffraction maxima, by angle, 2θ = 15–90°:
5.148 Å, intensity 36.4, hkl 2 1 1
3.641 Å, intensity 22.1, hkl 2 2 2
3.370 Å, intensity 12.8, hkl 3 2 1
2.972 Å, intensity 100.0, hkl 3 3 0
2.689 Å, intensity 9.0, hkl 3 3 2
2.574 Å, intensity 18.4, hkl 4 2 2
2.102 Å, intensity 21.7, hkl 6 0 0
1.946 Å, intensity 15.3, hkl 5 4 1
1.716 Å, intensity 36.7, hkl 6 3 3
1.552 Å, intensity 22.3, hkl 7 4 1
1.329 Å, intensity 15.3, hkl 9 3 0
1.123 Å, intensity 14.5, hkl 9 6 3



(2)
Structure and theoretical X-ray powder pattern of Rb5Au6 (the PBE geometry in Alexandria; CuKα).

Structure:
Lattice parameters (Å, degrees): 4.8831 32.5922 5.0027 90.00 90.00 90.00
Space group Cmmm (No. 65)
Inequivalent atoms, fractional coordinates:
Rb  0.0000  0.0000  0.0000 (multiplicity 2)
Rb  0.0000  0.1966  0.5000 (multiplicity 4)
Rb  0.0000  0.3848  0.0000 (multiplicity 4)
Au  0.0000  0.0819  0.5000 (multiplicity 4)
Au  0.0000  0.2750  0.0000 (multiplicity 4)
Au  0.0000  0.4585  0.5000 (multiplicity 4)

Largest 12 diffraction maxima, by angle, 2θ = 15–90°:
5.432 Å, intensity 35.0, hkl 0 6 0
4.782 Å, intensity 86.9, hkl 0 2 1
3.327 Å, intensity 100.0, hkl 1 3 1
3.159 Å, intensity 62.9, hkl 0 8 1
2.795 Å, intensity 59.5, hkl 1 7 1
2.533 Å, intensity 66.2, hkl 1 11 0
2.515 Å, intensity 42.5, hkl 1 9 1
2.501 Å, intensity 50.4, hkl 0 0 2
2.442 Å, intensity 47.1, hkl 2 0 0
1.932 Å, intensity 31.2, hkl 2 8 1
1.780 Å, intensity 46.5, hkl 1 11 2
1.747 Å, intensity 34.4, hkl 2 0 2



(3)
Structure and theoretical X-ray powder pattern of Rb2Au17 (the PBE geometry in Alexandria; CuKα).

Structure:
Lattice parameters (Å, degrees): 9.9355 9.9355 14.0176 90.00 90.00 120.00
Space group R-3m (No. 166, hexagonal axes)
Inequivalent atoms, fractional coordinates:
Rb  0.0000  0.0000  0.1534 (multiplicity 6)
Au  0.0000  0.0000  0.4001 (multiplicity 6)
Au  0.0000  0.3069  0.5000 (multiplicity 18)
Au  0.0000  0.5000  0.0000 (multiplicity 9)
Au  0.0040  0.5020  0.3435 (multiplicity 18)

Largest 12 diffraction maxima, by angle, 2θ = 15–90°:
4.968 Å, intensity 27.4, hkl 1 1 0
2.868 Å, intensity 23.4, hkl 3 0 0
2.484 Å, intensity 45.5, hkl 2 2 0
2.444 Å, intensity 79.4, hkl 3 0 3
2.350 Å, intensity 16.9, hkl 2 0 5
2.336 Å, intensity 28.9, hkl 0 0 6
2.193 Å, intensity 100.0, hkl 2 2 3
2.114 Å, intensity 30.4, hkl 1 1 6
1.464 Å, intensity 16.1, hkl 1 4 6
1.434 Å, intensity 25.9, hkl 6 0 0
1.369 Å, intensity 18.9, hkl 3 0 9
1.222 Å, intensity 17.7, hkl 6 0 6



(4)
Structure and theoretical X-ray powder pattern of Rb5Au4 (the PBE geometry in Alexandria; CuKα).

Structure:
Lattice parameters (Å, degrees): 12.5471 5.1284 12.0730 90.00 113.78 90.00
Space group C2/m (No. 12)
Inequivalent atoms, fractional coordinates:
Rb  0.0000  0.0000  0.0000 (multiplicity 2)
Rb  0.1033  0.0000  0.3997 (multiplicity 4)
Rb  0.2488  0.0000  0.8212 (multiplicity 4)
Au  0.0561  0.5000  0.8289 (multiplicity 4)
Au  0.1063  0.5000  0.6119 (multiplicity 4)

Largest 12 diffraction maxima, by angle, 2θ = 15–90°:
5.741 Å, intensity 47.1, hkl 2 0 0
4.683 Å, intensity 97.1, hkl 1 1 0
4.418 Å, intensity 37.4, hkl 2 0 1
3.313 Å, intensity 88.4, hkl 1 1 2
3.237 Å, intensity 100.0, hkl 3 1 -1
3.158 Å, intensity 89.1, hkl 1 1 -3
2.854 Å, intensity 79.6, hkl 3 1 -3
2.736 Å, intensity 97.4, hkl 3 1 1
2.575 Å, intensity 49.4, hkl 4 0 -4
2.564 Å, intensity 80.9, hkl 0 2 0
2.540 Å, intensity 50.7, hkl 4 0 1
2.492 Å, intensity 41.0, hkl 3 1 -4



(5)
Structure and theoretical X-ray powder pattern of Rb7Au (the PBE geometry in Alexandria; CuKα).

Structure:
Lattice parameters (Å, degrees): 7.2587 7.2587 39.1732 90.00 90.00 120.00
Space group R-3m (No. 166, hexagonal axes)
Inequivalent atoms, fractional coordinates:
Rb  0.0000  0.0000  0.0000 (multiplicity 3)
Rb  0.0000  0.0000  0.1485 (multiplicity 6)
Rb  0.0000  0.0000  0.2847 (multiplicity 6)
Rb  0.0000  0.0000  0.4161 (multiplicity 6)
Au  0.0000  0.0000  0.5000 (multiplicity 3)

Largest 12 diffraction maxima, by angle, 2θ = 15–90°:
4.180 Å, intensity 32.3, hkl 1 0 7
3.629 Å, intensity 100.0, hkl 1 1 0
3.325 Å, intensity 11.3, hkl 1 0 10
2.787 Å, intensity 20.7, hkl 1 1 9
2.556 Å, intensity 28.8, hkl 0 1 14
2.427 Å, intensity 12.3, hkl 1 1 12
2.187 Å, intensity 10.7, hkl 2 1 7
2.095 Å, intensity 21.8, hkl 3 0 0
2.090 Å, intensity 15.9, hkl 2 0 14
1.815 Å, intensity 13.9, hkl 2 2 0
1.811 Å, intensity 20.3, hkl 1 2 14
1.371 Å, intensity 15.1, hkl 4 1 0



(6)
Structure and theoretical X-ray powder pattern of Rb3Au (the PBE geometry in Alexandria; CuKα).

Structure:
Lattice parameters (Å, degrees): 14.7560 14.7560 8.2654 90.00 90.00 90.00
Space group P4_2/n (No. 86, origin choice 2)
Inequivalent atoms, fractional coordinates:
Rb  0.0347  0.5911  0.1822 (multiplicity 8)
Rb  0.1168  0.6671  0.6749 (multiplicity 8)
Rb  0.1264  0.1926  0.9993 (multiplicity 8)
Au  0.0282  0.1976  0.5942 (multiplicity 8)

Largest 12 diffraction maxima, by angle, 2θ = 15–90°:
5.504 Å, intensity 79.7, hkl 2 0 1
5.217 Å, intensity 38.2, hkl 2 2 0
3.842 Å, intensity 32.6, hkl 1 1 2
3.503 Å, intensity 65.1, hkl 2 1 2
3.300 Å, intensity 60.1, hkl 2 4 0
3.284 Å, intensity 100.0, hkl 4 1 1
3.206 Å, intensity 72.4, hkl 3 3 1
3.164 Å, intensity 54.0, hkl 3 0 2
3.094 Å, intensity 39.5, hkl 1 3 2
3.064 Å, intensity 36.8, hkl 4 2 1
2.706 Å, intensity 53.4, hkl 1 4 2
2.023 Å, intensity 42.4, hkl 7 1 1



(7)
Structure and theoretical X-ray powder pattern of Rb5Au (the PBE geometry in Alexandria; CuKα).

Structure:
Lattice parameters (Å, degrees): 8.7455 8.7455 22.1721 90.00 90.00 90.00
Space group I4/mcm (No. 140)
Inequivalent atoms, fractional coordinates:
Rb  0.0000  0.0000  0.0000 (multiplicity 4)
Rb  0.1869  0.3131  0.1636 (multiplicity 16)
Au  0.0000  0.0000  0.2500 (multiplicity 4)

Largest 12 diffraction maxima, by angle, 2θ = 15–90°:
4.128 Å, intensity 86.1, hkl 1 1 4
3.457 Å, intensity 59.9, hkl 2 1 3
3.433 Å, intensity 100.0, hkl 2 0 4
3.092 Å, intensity 44.5, hkl 2 2 0
2.822 Å, intensity 41.9, hkl 2 0 6
2.766 Å, intensity 55.2, hkl 3 1 0
2.529 Å, intensity 22.9, hkl 1 1 8
2.475 Å, intensity 21.6, hkl 3 1 4
2.341 Å, intensity 27.6, hkl 2 0 8
2.039 Å, intensity 26.3, hkl 4 1 3
1.957 Å, intensity 23.3, hkl 4 2 0
1.932 Å, intensity 22.9, hkl 3 3 4



(8)
Structure and theoretical X-ray powder pattern of Rb3Au4 (the PBE geometry in Alexandria; CuKα).

Structure:
Lattice parameters (Å, degrees): 5.0367 12.0012 15.1176 90.00 90.00 90.00
Space group Cmcm (No. 63)
Inequivalent atoms, fractional coordinates:
Rb  0.0000  0.0361  0.2500 (multiplicity 4)
Rb  0.0000  0.2650  0.6023 (multiplicity 8)
Au  0.0000  0.0000  0.0000 (multiplicity 4)
Au  0.0000  0.3517  0.2500 (multiplicity 4)
Au  0.0000  0.4422  0.0811 (multiplicity 8)

Largest 12 diffraction maxima, by angle, 2θ = 15–90°:
5.577 Å, intensity 62.4, hkl 0 2 1
4.700 Å, intensity 50.2, hkl 0 2 2
4.644 Å, intensity 30.0, hkl 1 1 0
3.067 Å, intensity 70.9, hkl 1 3 1
2.931 Å, intensity 48.4, hkl 1 1 4
2.660 Å, intensity 46.5, hkl 1 3 3
2.578 Å, intensity 57.3, hkl 0 4 3
2.519 Å, intensity 100.0, hkl 2 0 0
2.412 Å, intensity 58.4, hkl 1 3 4
2.216 Å, intensity 86.6, hkl 1 1 6
1.801 Å, intensity 39.8, hkl 2 4 3
1.780 Å, intensity 35.2, hkl 2 0 6



(9)
Structure and theoretical X-ray powder pattern of RbRh2Au2 (the PBE geometry in Alexandria; CuKα).

Structure:
Lattice parameters (Å, degrees): 8.3832 8.3832 2.8270 90.00 90.00 90.00
Space group P4/mbm (No. 127)
Inequivalent atoms, fractional coordinates:
Rb  0.0000  0.0000  0.0000 (multiplicity 2)
Rh  0.1099  0.3901  0.0000 (multiplicity 4)
Au  0.1834  0.6834  0.5000 (multiplicity 4)

Largest 12 diffraction maxima, by angle, 2θ = 15–90°:
4.192 Å, intensity 14.1, hkl 2 0 0
3.749 Å, intensity 20.9, hkl 2 1 0
2.964 Å, intensity 24.4, hkl 2 2 0
2.651 Å, intensity 49.4, hkl 3 1 0
2.344 Å, intensity 53.2, hkl 2 0 1
2.325 Å, intensity 25.2, hkl 3 2 0
2.257 Å, intensity 100.0, hkl 2 1 1
2.033 Å, intensity 38.6, hkl 4 1 0
1.651 Å, intensity 23.3, hkl 4 1 1
1.620 Å, intensity 17.6, hkl 3 3 1
1.421 Å, intensity 20.5, hkl 5 1 1
1.161 Å, intensity 13.2, hkl 4 1 2



(10)
Structure and theoretical X-ray powder pattern of RbAuS4 (the PBE geometry in Alexandria; CuKα).

Structure:
Lattice parameters (Å, degrees): 4.8698 5.7160 6.7884 88.99 68.99 78.05
Space group P1 (No. 1)
Inequivalent atoms, fractional coordinates:
Rb  0.0000  0.0000  0.0000 (multiplicity 1)
Au  0.0964  0.4980  0.5252 (multiplicity 1)
S  0.2729  0.0848  0.4173 (multiplicity 1)
S  0.4149  0.4121  0.9374 (multiplicity 1)
S  0.5085  0.5530  0.6536 (multiplicity 1)
S  0.9136  0.9205  0.5227 (multiplicity 1)

Largest 12 diffraction maxima, by angle, 2θ = 15–90°:
5.581 Å, intensity 31.5, hkl 0 1 0
4.439 Å, intensity 100.0, hkl 1 0 0
4.320 Å, intensity 80.8, hkl 0 1 -1
4.062 Å, intensity 64.8, hkl 0 1 1
3.831 Å, intensity 52.0, hkl 1 1 1
3.178 Å, intensity 71.0, hkl 1 0 2
3.162 Å, intensity 85.9, hkl 0 0 2
2.977 Å, intensity 52.1, hkl 1 1 -1
2.791 Å, intensity 63.5, hkl 0 2 0
2.378 Å, intensity 55.4, hkl 2 1 1
2.200 Å, intensity 33.8, hkl 1 2 2
2.161 Å, intensity 45.0, hkl 0 2 -2



(11)
Structure and theoretical X-ray powder pattern of RbSbAu2S4 (the PBE geometry in Alexandria; CuKα).

Structure:
Lattice parameters (Å, degrees): 6.4348 8.4297 9.0570 90.00 90.00 90.00
Space group I222 (No. 23)
Inequivalent atoms, fractional coordinates:
Rb  0.0000  0.0000  0.0000 (multiplicity 2)
Sb  0.0000  0.0000  0.5000 (multiplicity 2)
Au  0.0000  0.5000  0.1684 (multiplicity 4)
S  0.2080  0.1633  0.3391 (multiplicity 8)

Largest 12 diffraction maxima, by angle, 2θ = 15–90°:
4.215 Å, intensity 69.8, hkl 0 2 0
3.391 Å, intensity 100.0, hkl 1 1 2
3.286 Å, intensity 20.3, hkl 1 2 1
3.217 Å, intensity 29.3, hkl 2 0 0
2.842 Å, intensity 33.5, hkl 0 1 3
2.733 Å, intensity 25.4, hkl 1 0 3
2.557 Å, intensity 58.5, hkl 2 2 0
2.293 Å, intensity 39.9, hkl 1 2 3
2.238 Å, intensity 33.8, hkl 1 3 2
2.070 Å, intensity 22.2, hkl 1 1 4
1.889 Å, intensity 21.2, hkl 3 1 2
1.763 Å, intensity 19.7, hkl 2 4 0